Record 1
This entry pairs a crystal structure of Cu7Ag2 with its simulated powder diffraction line list. Radiation: Cu Kα X-rays. Structure: a DFT-relaxed cell (GGA-PBE, OQMD).
No peak broadening, texture or thermal motion is included.

Cell and atoms:
Cell lengths 13.7309, 2.7109, 7.7938 Å; angles 90.00, 124.54, 90.00 degrees
Space group C2/m (No. 12)
One atom of each set of equivalent atoms:
Cu: 0.0000 0.0000 0.0000 x2
Cu: 0.0602 0.5000 0.7848 x4
Cu: 0.1066 0.0000 0.5649 x4
Cu: 0.2244 0.0000 0.1039 x4
Ag: 0.1616 0.5000 0.3246 x4

Largest 8 diffraction maxima, low angle first, 15° ≤ 2θ ≤ 90°:
- 41.3 deg, 2.184 Å, I = 100
- 41.6 deg, 2.173 Å, I = 49
- 42.3 deg, 2.139 Å, I = 47
- 47.9 deg, 1.898 Å, I = 63
- 49.5 deg, 1.843 Å, I = 28
- 70.9 deg, 1.330 Å, I = 28
- 71.8 deg, 1.314 Å, I = 17
- 84.2 deg, 1.150 Å, I = 11

Record 2
This entry pairs a crystal structure of AlH6OsPb with its simulated powder diffraction line list. Radiation: Cu Kα X-rays. Structure: a DFT-relaxed cell (GGA-PBE, OQMD).
No peak broadening, texture or thermal motion is included.

Cell and atoms:
Cell lengths 6.6986, 6.6986, 6.6986 Å; angles 90.00, 90.00, 90.00 degrees
Space group F-43m (No. 216)
One atom of each set of equivalent atoms:
Al: 0.0000 0.0000 0.0000 x4
H: 0.1045 0.2500 0.2500 x24
Os: 0.0000 0.0000 0.5000 x4
Pb: 0.2500 0.2500 0.7500 x4

Largest 8 diffraction maxima, low angle first, 15° ≤ 2θ ≤ 90°:
- 23.0 deg, 3.867 Å, I = 87
- 38.0 deg, 2.368 Å, I = 100
- 44.9 deg, 2.020 Å, I = 48
- 54.8 deg, 1.675 Å, I = 18
- 60.2 deg, 1.537 Å, I = 21
- 68.6 deg, 1.367 Å, I = 36
- 73.5 deg, 1.289 Å, I = 16
- 85.8 deg, 1.132 Å, I = 16

Record 3
This entry pairs a crystal structure of Sm2Mg2Zn15 with its simulated powder diffraction line list. Radiation: Cu Kα X-rays. Structure: a DFT-relaxed cell (GGA-PBE, OQMD).
No peak broadening, texture or thermal motion is included.

Cell and atoms:
Cell lengths 9.0751, 9.0751, 13.3496 Å; angles 90.00, 90.00, 120.00 degrees
Space group R-3m (No. 166, hexagonal axes)
One atom of each set of equivalent atoms:
Sm: 0.0000 0.0000 0.1583 x6
Mg: 0.0000 0.0000 0.3963 x6
Zn: 0.0000 0.2948 0.5000 x18
Zn: 0.0000 0.5000 0.0000 x9
Zn: 0.0103 0.5052 0.6512 x18

Largest 8 diffraction maxima, low angle first, 15° ≤ 2θ ≤ 90°:
- 28.1 deg, 3.177 Å, I = 29
- 34.2 deg, 2.620 Å, I = 26
- 35.3 deg, 2.544 Å, I = 22
- 39.7 deg, 2.269 Å, I = 47
- 39.9 deg, 2.258 Å, I = 100
- 40.5 deg, 2.225 Å, I = 35
- 44.8 deg, 2.021 Å, I = 27
- 58.1 deg, 1.588 Å, I = 23

Record 4
This entry pairs a crystal structure of Dy2Er2SiBr5 with its simulated powder diffraction line list. Radiation: Cu Kα X-rays. Structure: a DFT-relaxed cell (GGA-PBE, OQMD).
No peak broadening, texture or thermal motion is included.

Cell and atoms:
Cell lengths 18.0431, 4.0168, 8.2809 Å; angles 90.00, 102.51, 90.00 degrees
Space group C2/m (No. 12)
One atom of each set of equivalent atoms:
Dy: 0.1508 0.0000 0.0787 x4
Er: 0.0002 0.5000 0.2204 x4
Si: 0.0000 0.0000 0.0000 x2
Br: 0.0000 0.0000 0.5000 x2
Br: 0.1653 0.5000 0.3326 x4
Br: 0.1720 0.5000 0.8348 x4

Largest 8 diffraction maxima, low angle first, 15° ≤ 2θ ≤ 90°:
- 27.8 deg, 3.208 Å, I = 15
- 30.4 deg, 2.938 Å, I = 64
- 31.0 deg, 2.883 Å, I = 100
- 33.8 deg, 2.648 Å, I = 15
- 43.8 deg, 2.068 Å, I = 52
- 44.2 deg, 2.048 Å, I = 33
- 45.1 deg, 2.008 Å, I = 19
- 55.4 deg, 1.657 Å, I = 20